Structure and simulated powder diffractogram of UAlFe (DFT lattice parameters and positions (GGA-PBE); copper Kα).
No peak broadening, texture or thermal motion is included.

Largest 12 diffraction maxima, sorted by position, 10 to 90 degrees two-theta:
- (0 0 2), 2θ = 19.29°, 4.601 Å, intensity 425
- (0 1 1), 2θ = 19.53°, 4.545 Å, intensity 379
- (1 1 1), 2θ = 22.47°, 3.957 Å, intensity 250
- (2 1 1), 2θ = 29.65°, 3.012 Å, intensity 290
- (0 1 3), 2θ = 33.88°, 2.646 Å, intensity 746
- (0 2 0), 2θ = 34.31°, 2.613 Å, intensity 427
- (3 0 2), 2θ = 38.86°, 2.317 Å, intensity 366
- (3 1 1), 2θ = 38.99°, 2.310 Å, intensity 967
- (0 2 2), 2θ = 39.66°, 2.272 Å, intensity 265
- (2 1 3), 2θ = 40.82°, 2.211 Å, intensity 1000
- (2 2 0), 2θ = 41.24°, 2.189 Å, intensity 692
- (3 2 4), 2θ = 64.14°, 1.452 Å, intensity 221

Structure:
a = 8.0464 Å, b = 5.2269 Å, c = 9.2026 Å
α = 90.00°, β = 90.00°, γ = 90.00°
Space group Amm2 (No. 38)
One atom of each set of equivalent atoms:
U  0.1668  0.0000  0.0000 [4 per cell]
U  0.2946  0.0000  0.3480 [4 per cell]
Al  0.2385  0.0000  0.6798 [4 per cell]
Al  0.5000  0.2446  0.0919 [4 per cell]
Fe  0.0000  0.0000  0.5095 [2 per cell]
Fe  0.0000  0.2429  0.2622 [4 per cell]
Fe  0.5000  0.0000  0.8480 [2 per cell]

=====

Structure and simulated powder diffractogram of Ag3SbS3 (DFT lattice parameters and positions (GGA-PBE); copper Kα).
No peak broadening, texture or thermal motion is included.

Largest 12 diffraction maxima, sorted by position, 10 to 90 degrees two-theta:
- (0 4 0), 2θ = 12.66°, 6.995 Å, intensity 457
- (1 1 0), 2θ = 18.36°, 4.832 Å, intensity 460
- (0 2 1), 2θ = 18.67°, 4.752 Å, intensity 857
- (1 3 -1), 2θ = 26.99°, 3.304 Å, intensity 631
- (1 7 0), 2θ = 28.81°, 3.099 Å, intensity 647
- (1 5 1), 2θ = 30.08°, 2.971 Å, intensity 1000
- (0 8 1), 2θ = 31.10°, 2.876 Å, intensity 755
- (0 10 0), 2θ = 31.99°, 2.798 Å, intensity 521
- (1 7 -1), 2θ = 33.87°, 2.647 Å, intensity 542
- (1 7 1), 2θ = 34.01°, 2.636 Å, intensity 452
- (2 2 0), 2θ = 37.22°, 2.416 Å, intensity 860
- (1 1 -2), 2θ = 40.16°, 2.245 Å, intensity 555

Structure:
a = 4.9057 Å, b = 27.9785 Å, c = 5.0521 Å
α = 90.00°, β = 90.43°, γ = 90.00°
Space group Cc (No. 9)
One atom of each set of equivalent atoms:
Ag  0.0000  0.0653  0.0000 [4 per cell]
Ag  0.2279  0.2491  0.7689 [4 per cell]
Ag  0.3607  0.1602  0.2184 [4 per cell]
Sb  0.4931  0.0287  0.2076 [4 per cell]
S  0.1680  0.3716  0.3467 [4 per cell]
S  0.2276  0.2465  0.2676 [4 per cell]
S  0.3658  0.1007  0.6095 [4 per cell]

=====

Structure and simulated powder diffractogram of ErPdPb (DFT lattice parameters and positions (GGA-PBE); copper Kα).
No peak broadening, texture or thermal motion is included.

Largest 12 diffraction maxima, sorted by position, 10 to 90 degrees two-theta:
- (1 1 1), 2θ = 32.62°, 2.745 Å, intensity 1000
- (2 1 0), 2θ = 34.92°, 2.570 Å, intensity 467
- (2 0 1), 2θ = 35.26°, 2.545 Å, intensity 576
- (3 0 0), 2θ = 39.78°, 2.266 Å, intensity 387
- (2 1 1), 2θ = 42.32°, 2.136 Å, intensity 208
- (0 0 2), 2θ = 47.35°, 1.920 Å, intensity 189
- (3 1 0), 2θ = 48.26°, 1.886 Å, intensity 94
- (3 1 1), 2θ = 54.19°, 1.693 Å, intensity 96
- (2 1 2), 2θ = 60.17°, 1.538 Å, intensity 199
- (3 0 2), 2θ = 63.51°, 1.465 Å, intensity 196
- (3 2 1), 2θ = 64.48°, 1.445 Å, intensity 306
- (5 1 1), 2θ = 82.98°, 1.164 Å, intensity 95

Structure:
a = 7.8505 Å, b = 7.8505 Å, c = 3.8394 Å
α = 90.00°, β = 90.00°, γ = 120.00°
Space group P-62m (No. 189)
One atom of each set of equivalent atoms:
Er  0.0000  0.6003  0.0000 [3 per cell]
Pd  0.0000  0.0000  0.0000 [1 per cell]
Pd  0.3333  0.6667  0.5000 [2 per cell]
Pb  0.0000  0.2668  0.5000 [3 per cell]

=====

Structure and simulated powder diffractogram of Li2In2SiS6 (DFT lattice parameters and positions (GGA-PBE); copper Kα).
No peak broadening, texture or thermal motion is included.

Largest 12 diffraction maxima, sorted by position, 10 to 90 degrees two-theta:
- (1 1 0), 2θ = 14.62°, 6.059 Å, intensity 1000
- (0 0 2), 2θ = 15.41°, 5.750 Å, intensity 204
- (1 1 1), 2θ = 17.72°, 5.005 Å, intensity 504
- (1 1 2), 2θ = 23.17°, 3.839 Å, intensity 243
- (3 1 -2), 2θ = 26.23°, 3.397 Å, intensity 641
- (4 0 -2), 2θ = 29.60°, 3.018 Å, intensity 337
- (2 2 -2), 2θ = 30.78°, 2.905 Å, intensity 218
- (0 0 4), 2θ = 31.11°, 2.875 Å, intensity 307
- (1 1 -4), 2θ = 31.93°, 2.803 Å, intensity 385
- (2 2 -3), 2θ = 34.28°, 2.616 Å, intensity 206
- (1 3 -3), 2θ = 44.11°, 2.053 Å, intensity 226
- (6 0 -4), 2θ = 47.07°, 1.931 Å, intensity 326

Structure:
a = 12.2428 Å, b = 7.1285 Å, c = 12.2367 Å
α = 90.00°, β = 110.01°, γ = 90.00°
Space group Cc (No. 9)
One atom of each set of equivalent atoms:
Li  0.0000  0.0990  0.0000 [4 per cell]
Li  0.2102  0.3064  0.6548 [4 per cell]
In  0.0230  0.4025  0.3090 [4 per cell]
In  0.3438  0.0701  0.0041 [4 per cell]
Si  0.2759  0.2320  0.2494 [4 per cell]
S  0.0171  0.2546  0.4917 [4 per cell]
S  0.2018  0.2604  0.0647 [4 per cell]
S  0.2068  0.0141  0.7988 [4 per cell]
S  0.2286  0.4766  0.3244 [4 per cell]
S  0.3965  0.2292  0.6182 [4 per cell]
S  0.4604  0.2437  0.3041 [4 per cell]

=====

Structure and simulated powder diffractogram of Hf2Si4Mo3 (DFT lattice parameters and positions (GGA-PBE); copper Kα).
No peak broadening, texture or thermal motion is included.

Largest 12 diffraction maxima, sorted by position, 10 to 90 degrees two-theta:
- (1 1 2), 2θ = 30.58°, 2.923 Å, intensity 431
- (2 1 1), 2θ = 31.04°, 2.881 Å, intensity 353
- (1 3 2), 2θ = 36.75°, 2.445 Å, intensity 978
- (2 3 1), 2θ = 37.16°, 2.419 Å, intensity 1000
- (2 0 2), 2θ = 38.14°, 2.360 Å, intensity 215
- (0 4 2), 2θ = 39.09°, 2.305 Å, intensity 300
- (1 0 3), 2θ = 42.38°, 2.133 Å, intensity 223
- (0 6 0), 2θ = 43.05°, 2.101 Å, intensity 471
- (3 0 1), 2θ = 43.34°, 2.088 Å, intensity 376
- (1 3 4), 2θ = 60.70°, 1.526 Å, intensity 206
- (1 6 3), 2θ = 62.07°, 1.495 Å, intensity 373
- (3 4 3), 2θ = 66.46°, 1.407 Å, intensity 273

Structure:
a = 6.5841 Å, b = 12.5967 Å, c = 6.7627 Å
α = 90.00°, β = 90.00°, γ = 90.00°
Space group Pnma (No. 62)
One atom of each set of equivalent atoms:
Hf  0.0068  0.0926  0.1719 [8 per cell]
Si  0.0323  0.2500  0.8789 [4 per cell]
Si  0.1677  0.0431  0.5405 [8 per cell]
Si  0.1992  0.7500  0.6384 [4 per cell]
Mo  0.1684  0.2500  0.4861 [4 per cell]
Mo  0.1691  0.6234  0.3352 [8 per cell]

=====

Structure and simulated powder diffractogram of Na3GaSi2SnSO12 (DFT lattice parameters and positions (GGA-PBE); copper Kα).
No peak broadening, texture or thermal motion is included.

Largest 12 diffraction maxima, sorted by position, 10 to 90 degrees two-theta:
- (1 1 -1), 2θ = 13.95°, 6.350 Å, intensity 400
- (1 1 1), 2θ = 19.53°, 4.545 Å, intensity 561
- (2 0 -2), 2θ = 19.68°, 4.511 Å, intensity 499
- (3 1 -1), 2θ = 19.83°, 4.477 Å, intensity 1000
- (0 2 1), 2θ = 23.23°, 3.829 Å, intensity 341
- (2 2 -2), 2θ = 28.10°, 3.175 Å, intensity 372
- (3 1 1), 2θ = 31.07°, 2.879 Å, intensity 510
- (0 2 2), 2θ = 31.25°, 2.862 Å, intensity 521
- (3 1 -3), 2θ = 31.39°, 2.850 Å, intensity 475
- (6 0 -2), 2θ = 34.64°, 2.590 Å, intensity 339
- (3 3 -1), 2θ = 34.73°, 2.583 Å, intensity 580
- (6 2 0), 2θ = 47.11°, 1.929 Å, intensity 331

Structure:
a = 15.5280 Å, b = 8.9402 Å, c = 9.0231 Å
α = 90.00°, β = 124.33°, γ = 90.00°
Space group Cc (No. 9)
One atom of each set of equivalent atoms:
Na  0.0000  0.0639  0.0000 [4 per cell]
Na  0.3635  0.0698  0.0007 [4 per cell]
Na  0.4307  0.2601  0.7519 [4 per cell]
Ga  0.2881  0.2553  0.3153 [4 per cell]
Si  0.1943  0.0457  0.5159 [4 per cell]
Si  0.3352  0.4005  0.0188 [4 per cell]
Sn  0.0928  0.2390  0.7070 [4 per cell]
S  0.0448  0.3971  0.0136 [4 per cell]
O  0.0378  0.4383  0.5305 [4 per cell]
O  0.0405  0.3785  0.8443 [4 per cell]
O  0.1064  0.1460  0.5198 [4 per cell]
O  0.1074  0.0529  0.8373 [4 per cell]
O  0.1369  0.3262  0.1684 [4 per cell]
O  0.2366  0.3172  0.8408 [4 per cell]
O  0.2680  0.0625  0.1896 [4 per cell]
O  0.2735  0.1424  0.4881 [4 per cell]
O  0.3377  0.3664  0.1978 [4 per cell]
O  0.3452  0.4206  0.4958 [4 per cell]
O  0.4353  0.3104  0.0308 [4 per cell]
O  0.4543  0.1727  0.4996 [4 per cell]

=====

Structure and simulated powder diffractogram of MnH2Cl2 (DFT lattice parameters and positions (GGA-PBE); copper Kα).
No peak broadening, texture or thermal motion is included.

Largest 12 diffraction maxima, sorted by position, 10 to 90 degrees two-theta:
- (1 1 0), 2θ = 18.12°, 4.895 Å, intensity 1000
- (0 2 0), 2θ = 24.63°, 3.615 Å, intensity 993
- (1 1 1), 2θ = 34.03°, 2.635 Å, intensity 342
- (2 0 -1), 2θ = 35.43°, 2.534 Å, intensity 330
- (1 3 0), 2θ = 39.78°, 2.266 Å, intensity 117
- (2 0 1), 2θ = 40.87°, 2.208 Å, intensity 238
- (2 2 -1), 2θ = 43.62°, 2.075 Å, intensity 315
- (3 1 -1), 2θ = 47.74°, 1.905 Å, intensity 171
- (2 2 1), 2θ = 48.30°, 1.884 Å, intensity 257
- (0 4 0), 2θ = 50.49°, 1.808 Å, intensity 124
- (1 1 -2), 2θ = 56.52°, 1.628 Å, intensity 129
- (4 2 0), 2θ = 61.36°, 1.511 Å, intensity 118

Structure:
a = 6.7152 Å, b = 7.2300 Å, c = 3.3645 Å
α = 90.00°, β = 97.86°, γ = 90.00°
Space group C2/m (No. 12)
One atom of each set of equivalent atoms:
Mn  0.0000  0.0000  0.0000 [2 per cell]
H  0.0000  0.2299  0.0000 [4 per cell]
Cl  0.2397  0.0000  0.5666 [4 per cell]

=====

Structure and simulated powder diffractogram of Ba4NaIr3O12 (DFT lattice parameters and positions (GGA-PBE); copper Kα).
No peak broadening, texture or thermal motion is included.

Largest 12 diffraction maxima, sorted by position, 10 to 90 degrees two-theta:
- (1 1 0), 2θ = 15.12°, 5.860 Å, intensity 142
- (2 1 1), 2θ = 26.34°, 3.384 Å, intensity 77
- (2 2 0), 2θ = 30.51°, 2.930 Å, intensity 1000
- (3 1 0), 2θ = 34.21°, 2.621 Å, intensity 33
- (3 2 1), 2θ = 40.73°, 2.215 Å, intensity 41
- (4 0 0), 2θ = 43.69°, 2.072 Å, intensity 286
- (4 2 2), 2θ = 54.22°, 1.692 Å, intensity 404
- (5 1 0), 2θ = 56.63°, 1.625 Å, intensity 28
- (4 4 0), 2θ = 63.50°, 1.465 Å, intensity 179
- (6 2 0), 2θ = 72.07°, 1.310 Å, intensity 180
- (4 4 4), 2θ = 80.25°, 1.196 Å, intensity 60
- (6 4 2), 2θ = 88.23°, 1.108 Å, intensity 221

Structure:
a = 8.2879 Å, b = 8.2879 Å, c = 8.2879 Å
α = 90.00°, β = 90.00°, γ = 90.00°
Space group Im-3m (No. 229)
One atom of each set of equivalent atoms:
Ba  0.2500  0.2500  0.2500 [8 per cell]
Na  0.0000  0.0000  0.0000 [2 per cell]
Ir  0.0000  0.0000  0.5000 [6 per cell]
O  0.0000  0.0000  0.2701 [12 per cell]
O  0.0000  0.2500  0.5000 [12 per cell]